Li4Mn13O24: theoretical XRD peak list (Cu Kα, 1.54184 Å), based on a structure optimized by DFT (PBE+U).

Structural model:
```
data_Li4Mn13O24
_chemical_formula_sum 'Li4 Mn13 O24'
_symmetry_space_group_name_H-M 'P 1'
_symmetry_Int_Tables_number 1
_symmetry_space_group_name_Hall 'P 1'
_cell_length_a 6.0311
_cell_length_b 8.3600
_cell_length_c 10.2451
_cell_angle_alpha 113.93
_cell_angle_beta 105.07
_cell_angle_gamma 90.30
loop_
_atom_site_label
_atom_site_fract_x
_atom_site_fract_y
_atom_site_fract_z
Li1 0.0000 0.0000 0.0000
Li2 0.1410 0.4212 0.3298
Li3 0.5035 0.7587 0.0024
Li4 0.6726 0.6707 0.3336
Mn1 0.0842 0.7160 0.1718
Mn2 0.0866 0.7154 0.6671
Mn3 0.2472 0.8788 0.5012
Mn4 0.2562 0.3872 0.0103
Mn5 0.3460 0.3373 0.6717
Mn6 0.4051 0.0463 0.3279
Mn7 0.4204 0.0395 0.8316
Mn8 0.5610 0.2015 0.1573
Mn9 0.5877 0.7139 0.6630
Mn10 0.7410 0.3800 0.4919
Mn11 0.7605 0.3814 0.0063
Mn12 0.9015 0.0451 0.3293
Mn13 0.9357 0.5615 0.8444
O1 0.0524 0.4848 0.1650
O2 0.0754 0.4869 0.6728
O3 0.0941 0.9589 0.1890
O4 0.1240 0.9513 0.6712
O5 0.2339 0.6543 0.5084
O6 0.2550 0.1046 0.4860
O7 0.2565 0.6288 0.0292
O8 0.2759 0.1396 0.9960
O9 0.3819 0.8100 0.3345
O10 0.3975 0.7967 0.8101
O11 0.4056 0.2690 0.3130
O12 0.4567 0.2790 0.8500
O13 0.5395 0.9450 0.6601
O14 0.5502 0.9816 0.1733
O15 0.5710 0.4305 0.1507
O16 0.6051 0.4796 0.6574
O17 0.7016 0.1116 0.9963
O18 0.7117 0.1330 0.4667
O19 0.7771 0.6305 0.5202
O20 0.8002 0.6510 0.0143
O21 0.8612 0.2739 0.3160
O22 0.9359 0.7804 0.8199
O23 0.9470 0.3409 0.8689
O24 0.9481 0.8150 0.3404
```

Top 8 peaks for 10 to 90 degrees two-theta, by angle:
2θ/deg, intensity, index
18.1, 1000, 1 -1 0
18.2, 890, 0 1 1
34.7, 217, 1 -1 3
35.6, 527, 1 3 -2
41.8, 372, 2 0 2
43.3, 348, 0 4 -2
43.4, 350, 2 0 -4
61.6, 250, 2 -4 4